For Th2Al9Rh3, a DFT-relaxed cell (PBE, Alexandria) gives the computed powder XRD pattern in this record (Cu Kα (weighted mean of Kα1 and Kα2)).
Intensities are scaled so that the largest is 100.

Structural model:
Unit cell a=7.7080 b=7.7080 c=10.5377 alpha=111.57 beta=111.57 gamma=59.72
Atoms (fractional coordinates):
1 Th 0.0853 0.2524 0.2497
2 Th 0.2524 0.0853 0.7497
3 Th 0.7476 0.9147 0.2503
4 Th 0.9147 0.7476 0.7503
5 Al 0.0281 0.8535 0.0740
6 Al 0.1465 0.9719 0.4260
7 Al 0.1962 0.3582 0.5721
8 Al 0.2148 0.5803 0.2526
9 Al 0.3185 0.4851 0.9516
10 Al 0.3582 0.1962 0.0721
11 Al 0.3736 0.6264 0.7500
12 Al 0.4197 0.7852 0.2474
13 Al 0.4851 0.3185 0.4516
14 Al 0.5149 0.6815 0.5484
15 Al 0.5803 0.2148 0.7526
16 Al 0.6264 0.3736 0.2500
17 Al 0.6418 0.8038 0.9279
18 Al 0.6815 0.5149 0.0484
19 Al 0.7852 0.4197 0.7474
20 Al 0.8038 0.6418 0.4279
21 Al 0.8535 0.0281 0.5740
22 Al 0.9719 0.1465 0.9260
23 Rh 0.0000 0.5000 0.0000
24 Rh 0.1558 0.6726 0.4996
25 Rh 0.3274 0.8442 0.0004
26 Rh 0.5000 0.0000 0.5000
27 Rh 0.6726 0.1558 0.9996
28 Rh 0.8442 0.3274 0.5004

Principal peaks in the range 10° ≤ 2θ ≤ 80°, in order of falling intensity:
d 2.996, I = 100; d 2.452, I = 80; d 2.219, I = 60; d 3.574, I = 59; d 2.386, I = 35; d 2.228, I = 30